Starting from a DFT-relaxed cell (GGA-PBE, Alexandria), the X-ray powder pattern of PmNd4Tm10 was simulated for CuKα.
No peak broadening, texture or thermal motion is included.

Structure:
Cell: 11.1994 11.1994 7.9501 Å, 90.00 90.00 90.00°
Space group I4/mmm (No. 139)
Asymmetric unit:
Pm 0.0000 0.0000 0.0000 (multiplicity 2)
Nd 0.2272 0.2272 0.0000 (multiplicity 8)
Tm 0.0000 0.2078 0.2958 (multiplicity 16)
Tm 0.0000 0.5000 0.2500 (multiplicity 4)

Principal peaks in the range 10° ≤ 2θ ≤ 90°, sorted by position:
27.52°, 3.241 Å, intensity 27
30.91°, 2.893 Å, intensity 27
31.93°, 2.802 Å, intensity 100
33.92°, 2.643 Å, intensity 36
41.06°, 2.198 Å, intensity 33
67.97°, 1.379 Å, intensity 17